The following is a simulated PXRD pattern of Tm4AgHg2Rh. It was derived from DFT lattice parameters and positions (GGA-PBE), using Cu Kα (weighted mean of Kα1 and Kα2).
Neutral-atom scattering factors, no anomalous dispersion.

Atomic structure:
```
data_Tm4AgHg2Rh
_cell_length_a 5.0754
_cell_length_b 5.0754
_cell_length_c 24.6346
_cell_angle_alpha 90.00
_cell_angle_beta 90.00
_cell_angle_gamma 120.00
_symmetry_space_group_name_H-M 'R -3 m'
_symmetry_Int_Tables_number 166
_symmetry_space_group_name_Hall '-R 3 2"'
loop_
_atom_site_label
_atom_site_type_symbol
_atom_site_fract_x
_atom_site_fract_y
_atom_site_fract_z
Tm1 Tm 0.0000 0.0000 0.1180
Tm2 Tm 0.0000 0.0000 0.3700
Ag1 Ag 0.0000 0.0000 0.5000
Hg1 Hg 0.0000 0.0000 0.2437
Rh1 Rh 0.0000 0.0000 0.0000
```

Most intense lines, 2θ = 5–70°, sorted by position:
(hkl), 2theta, intensity
0 1 2, 21.47, 6
1 0 7, 32.59, 4
1 1 0, 35.37, 100
0 1 8, 35.60, 91
1 1 9, 48.92, 5
2 0 8, 51.06, 33
3 0 0, 63.50, 18
1 2 8, 63.64, 34
1 0 16, 64.08, 13
1 1 15, 67.98, 5



The following is a simulated PXRD pattern of TbTh4Tc2. It was derived from DFT lattice parameters and positions (GGA-PBE), using Cu Kα (weighted mean of Kα1 and Kα2).
Neutral-atom scattering factors, no anomalous dispersion.

Atomic structure:
```
data_TbTh4Tc2
_cell_length_a 7.8949
_cell_length_b 6.6560
_cell_length_c 7.9080
_cell_angle_alpha 90.00
_cell_angle_beta 112.17
_cell_angle_gamma 90.00
_symmetry_space_group_name_H-M 'P 1 21/m 1'
_symmetry_Int_Tables_number 11
loop_
_symmetry_equiv_pos_as_xyz
'x,y,z'
'-x,-y,-z'
'-x,y+1/2,-z'
'x,-y+1/2,z'
loop_
_atom_site_label
_atom_site_type_symbol
_atom_site_fract_x
_atom_site_fract_y
_atom_site_fract_z
Tb1 Tb 0.1658 0.2500 0.0266
Th1 Th 0.0247 0.2500 0.3828
Th2 Th 0.2290 0.7500 0.3161
Th3 Th 0.4038 0.0024 0.7555
Tc1 Tc 0.2465 0.7500 0.9844
Tc2 Tc 0.3793 0.2500 0.4249
```

Most intense lines, 2θ = 5–70°, sorted by position:
(hkl), 2theta, intensity
1 2 0, 29.49, 73
1 2 -1, 30.11, 44
2 1 -2, 30.39, 49
2 0 1, 31.19, 76
1 2 1, 33.74, 37
3 0 -1, 34.07, 100
2 2 -1, 35.40, 74
0 2 2, 36.49, 52
3 1 0, 39.34, 39
3 2 -4, 57.41, 36



The following is a simulated PXRD pattern of K2TlPCO7. It was derived from DFT lattice parameters and positions (GGA-PBE), using Cu Kα (weighted mean of Kα1 and Kα2).
Neutral-atom scattering factors, no anomalous dispersion.

Atomic structure:
```
data_K2TlPCO7
_cell_length_a 5.6112
_cell_length_b 7.2313
_cell_length_c 10.0464
_cell_angle_alpha 90.00
_cell_angle_beta 90.72
_cell_angle_gamma 90.00
_symmetry_space_group_name_H-M 'P 1 21/m 1'
_symmetry_Int_Tables_number 11
loop_
_symmetry_equiv_pos_as_xyz
'x,y,z'
'-x,-y,-z'
'-x,y+1/2,-z'
'x,-y+1/2,z'
loop_
_atom_site_label
_atom_site_type_symbol
_atom_site_fract_x
_atom_site_fract_y
_atom_site_fract_z
K1 K 0.2492 0.0198 0.2182
Tl1 Tl 0.2845 0.2500 0.6220
P1 P 0.2232 0.7500 0.5722
C1 C 0.2405 0.2500 0.8950
O1 O 0.0592 0.2500 0.4380
O2 O 0.0590 0.2500 0.8072
O3 O 0.2014 0.2500 0.0181
O4 O 0.3059 0.5763 0.6504
O5 O 0.3229 0.7500 0.4269
O6 O 0.4531 0.2500 0.8430
```

Most intense lines, 2θ = 5–70°, sorted by position:
(hkl), 2theta, intensity
0 0 1, 8.80, 100
0 1 1, 15.10, 43
1 1 0, 20.03, 42
1 0 -2, 23.62, 28
1 0 2, 23.93, 22
0 2 0, 24.62, 19
0 2 1, 26.20, 17
1 2 -1, 30.68, 17
1 2 1, 30.79, 23
2 0 0, 31.90, 19



The following is a simulated PXRD pattern of Cu4TeSeI2. It was derived from DFT lattice parameters and positions (GGA-PBE), using Cu Kα (weighted mean of Kα1 and Kα2).
Neutral-atom scattering factors, no anomalous dispersion.

Atomic structure:
```
data_Cu4TeSeI2
_cell_length_a 8.0577
_cell_length_b 7.2631
_cell_length_c 6.9863
_cell_angle_alpha 90.00
_cell_angle_beta 90.00
_cell_angle_gamma 90.00
_symmetry_space_group_name_H-M 'P m n 21'
_symmetry_Int_Tables_number 31
loop_
_symmetry_equiv_pos_as_xyz
'x,y,z'
'-x+1/2,-y,z+1/2'
'-x,y,z'
'x+1/2,-y,z+1/2'
loop_
_atom_site_label
_atom_site_type_symbol
_atom_site_fract_x
_atom_site_fract_y
_atom_site_fract_z
Cu1 Cu 0.0000 0.1336 0.0000
Cu2 Cu 0.0000 0.8450 0.4803
Cu3 Cu 0.2361 0.6819 0.0230
Te1 Te 0.0000 0.1596 0.6399
Se1 Se 0.0000 0.8379 0.1424
I1 I 0.2495 0.3351 0.1417
```

Most intense lines, 2θ = 5–70°, sorted by position:
(hkl), 2theta, intensity
0 2 0, 24.51, 42
2 1 0, 25.28, 100
0 0 2, 25.50, 85
0 2 1, 27.68, 52
2 1 1, 28.37, 89
2 3 0, 43.62, 79
4 0 0, 45.00, 38
0 2 3, 46.32, 48
2 1 3, 46.76, 87
2 3 2, 51.20, 47



The following is a simulated PXRD pattern of MgB2Cl8. It was derived from DFT lattice parameters and positions (GGA-PBE), using Cu Kα (weighted mean of Kα1 and Kα2).
Neutral-atom scattering factors, no anomalous dispersion.

Atomic structure:
```
data_MgB2Cl8
_cell_length_a 16.8710
_cell_length_b 8.8542
_cell_length_c 10.6319
_cell_angle_alpha 90.00
_cell_angle_beta 125.13
_cell_angle_gamma 90.00
_symmetry_space_group_name_H-M 'C 1 2/c 1'
_symmetry_Int_Tables_number 15
loop_
_symmetry_equiv_pos_as_xyz
'x,y,z'
'-x,-y,-z'
'-x,y,-z+1/2'
'x,-y,z+1/2'
'x+1/2,y+1/2,z'
'-x+1/2,-y+1/2,-z'
'-x+1/2,y+1/2,-z+1/2'
'x+1/2,-y+1/2,z+1/2'
loop_
_atom_site_label
_atom_site_type_symbol
_atom_site_fract_x
_atom_site_fract_y
_atom_site_fract_z
Mg1 Mg 0.0000 0.0204 0.2500
B1 B 0.0862 0.2253 0.5419
Cl1 Cl 0.0445 0.2195 0.1290
Cl2 Cl 0.0927 0.1922 0.7243
Cl3 Cl 0.1437 0.4008 0.5571
Cl4 Cl 0.1480 0.0608 0.5157
```

Most intense lines, 2θ = 5–70°, sorted by position:
(hkl), 2theta, intensity
1 1 0, 11.88, 100
2 0 0, 12.83, 73
1 1 1, 17.92, 46
3 1 -1, 18.71, 56
2 2 0, 23.88, 28
3 1 -3, 27.16, 28
4 2 -2, 29.80, 90
2 0 2, 29.94, 48
4 0 -4, 33.84, 51
5 1 1, 40.88, 30



The following is a simulated PXRD pattern of CsVSn2Br8. It was derived from DFT lattice parameters and positions (GGA-PBE), using Cu Kα (weighted mean of Kα1 and Kα2).
Neutral-atom scattering factors, no anomalous dispersion.

Atomic structure:
```
data_CsVSn2Br8
_cell_length_a 7.4790
_cell_length_b 7.5069
_cell_length_c 8.3679
_cell_angle_alpha 75.80
_cell_angle_beta 87.63
_cell_angle_gamma 87.99
_symmetry_space_group_name_H-M 'P -1'
_symmetry_Int_Tables_number 2
loop_
_symmetry_equiv_pos_as_xyz
'x,y,z'
'-x,-y,-z'
loop_
_atom_site_label
_atom_site_type_symbol
_atom_site_fract_x
_atom_site_fract_y
_atom_site_fract_z
Cs1 Cs 0.0000 0.0000 0.0000
V1 V 0.0000 0.5000 0.5000
Sn1 Sn 0.4423 0.4961 0.2606
Br1 Br 0.0759 0.4110 0.2255
Br2 Br 0.2321 0.7531 0.4153
Br3 Br 0.2466 0.2782 0.6327
Br4 Br 0.4474 0.7598 0.9650
```

Most intense lines, 2θ = 5–70°, sorted by position:
(hkl), 2theta, intensity
0 1 0, 12.17, 92
0 1 1, 14.23, 51
2 0 1, 25.91, 41
2 0 -1, 26.60, 51
-1 2 1, 27.51, 46
0 1 -2, 27.69, 100
2 -1 1, 30.17, 46
2 1 2, 32.08, 36
2 2 0, 33.96, 37
3 1 1, 38.30, 42



The following is a simulated PXRD pattern of RbMg2Cr. It was derived from DFT lattice parameters and positions (GGA-PBE), using Cu Kα (weighted mean of Kα1 and Kα2).
Neutral-atom scattering factors, no anomalous dispersion.

Atomic structure:
```
data_RbMg2Cr
_cell_length_a 5.8507
_cell_length_b 5.8507
_cell_length_c 19.8125
_cell_angle_alpha 90.00
_cell_angle_beta 90.00
_cell_angle_gamma 90.00
_symmetry_space_group_name_H-M 'I 41/a m d'
_symmetry_Int_Tables_number 141
loop_
_symmetry_equiv_pos_as_xyz
'x,y,z'
'-x,-y,-z'
'-y+1/4,x+3/4,z+1/4'
'y+1/4,-x+3/4,-z+1/4'
'-x+1/2,-y,z+1/2'
'x+1/2,y,-z+1/2'
'y+1/4,-x+1/4,z+3/4'
'-y+1/4,x+1/4,-z+3/4'
'x,-y,-z'
'-x,y,z'
'-y+1/4,-x+1/4,-z+3/4'
'y+1/4,x+1/4,z+3/4'
'-x+1/2,y,-z+1/2'
'x+1/2,-y,z+1/2'
'y+1/4,x+3/4,-z+1/4'
'-y+1/4,-x+3/4,z+1/4'
'x+1/2,y+1/2,z+1/2'
'-x+1/2,-y+1/2,-z+1/2'
'-y+3/4,x+1/4,z+3/4'
'y+3/4,-x+1/4,-z+3/4'
'-x,-y+1/2,z'
'x,y+1/2,-z'
'y+3/4,-x+3/4,z+1/4'
'-y+3/4,x+3/4,-z+1/4'
'x+1/2,-y+1/2,-z+1/2'
'-x+1/2,y+1/2,z+1/2'
'-y+3/4,-x+3/4,-z+1/4'
'y+3/4,x+3/4,z+1/4'
'-x,y+1/2,-z'
'x,-y+1/2,z'
'y+3/4,x+1/4,-z+3/4'
'-y+3/4,-x+1/4,z+3/4'
loop_
_atom_site_label
_atom_site_type_symbol
_atom_site_fract_x
_atom_site_fract_y
_atom_site_fract_z
Rb1 Rb 0.0000 0.2500 0.3750
Mg1 Mg 0.0000 0.0000 0.0000
Cr1 Cr 0.0000 0.2500 0.8750
```

Most intense lines, 2θ = 5–70°, sorted by position:
(hkl), 2theta, intensity
0 0 4, 17.91, 18
1 0 3, 20.28, 16
1 1 2, 23.30, 100
2 0 0, 30.56, 25
1 1 6, 34.76, 35
2 0 4, 35.64, 32
0 0 8, 36.27, 14
2 2 4, 47.64, 25
3 1 2, 50.16, 23
3 1 6, 57.06, 15



The following is a simulated PXRD pattern of Pr2AgO2F2. It was derived from DFT lattice parameters and positions (GGA-PBE), using Cu Kα (weighted mean of Kα1 and Kα2).
Neutral-atom scattering factors, no anomalous dispersion.

Atomic structure:
```
data_Pr2AgO2F2
_cell_length_a 3.9136
_cell_length_b 3.9136
_cell_length_c 11.0889
_cell_angle_alpha 90.00
_cell_angle_beta 90.00
_cell_angle_gamma 120.00
_symmetry_space_group_name_H-M 'P -3 m 1'
_symmetry_Int_Tables_number 164
_symmetry_space_group_name_Hall '-P 3 2"'
loop_
_atom_site_label
_atom_site_type_symbol
_atom_site_fract_x
_atom_site_fract_y
_atom_site_fract_z
Pr1 Pr 0.3333 0.6667 0.1378
Ag1 Ag 0.0000 0.0000 0.5000
O1 O 0.3333 0.6667 0.9227
F1 F 0.0000 0.0000 0.2402
```

Most intense lines, 2θ = 5–70°, sorted by position:
(hkl), 2theta, intensity
0 0 1, 7.97, 40
0 0 3, 24.08, 39
1 0 1, 27.52, 100
0 1 2, 30.92, 52
1 0 4, 42.11, 39
1 1 0, 46.40, 33
0 1 5, 49.09, 16
1 1 3, 52.95, 27
0 2 1, 54.80, 14
2 0 2, 56.77, 18